Record 1
For RbLu2Cu3TeS4, a PBE-relaxed structure gives the calculated XRD peak list in this record (Cu Kα X-rays).
Neutral-atom scattering factors, no anomalous dispersion.

Principal peaks in the range 2θ = 5–70°, by angle:
d (Å), two_theta, intensity
6.975, 12.69, 93.7
3.737, 23.81, 53.7
3.168, 28.17, 63.8
2.979, 30.00, 82.8
2.849, 31.40, 84.8
2.816, 31.78, 100.0
2.460, 36.53, 56.9
2.284, 39.45, 84.3
1.993, 45.52, 58.7
1.887, 48.23, 60.3

```
data_RbLu2Cu3TeS4
_space_group_name_H-M_alt 'P 1'
_space_group_IT_number 1
_cell_length_a 7.254
_cell_length_b 7.254
_cell_length_c 16.894
_cell_angle_alpha 90.00
_cell_angle_beta 90.00
_cell_angle_gamma 148.11
loop_
_space_group_symop_operation_xyz
'x,y,z'
loop_
_atom_site_label
_atom_site_fract_x
_atom_site_fract_y
_atom_site_fract_z
Rb1 0.049 0.951 0.750
Rb2 0.951 0.049 0.250
Lu1 0.188 0.812 0.085
Lu2 0.188 0.812 0.415
Lu3 0.812 0.188 0.585
Lu4 0.812 0.188 0.915
Cu1 0.359 0.641 0.750
Cu2 0.416 0.584 0.039
Cu3 0.416 0.584 0.461
Cu4 0.584 0.416 0.539
Cu5 0.584 0.416 0.961
Cu6 0.641 0.359 0.250
Te1 0.251 0.749 0.250
Te2 0.749 0.251 0.750
S1 0.171 0.829 0.569
S2 0.171 0.829 0.931
S3 0.437 0.563 0.609
S4 0.437 0.563 0.891
S5 0.563 0.437 0.109
S6 0.563 0.437 0.391
S7 0.829 0.171 0.069
S8 0.829 0.171 0.431
```

***

Record 2
For Gd10C4Cl17, a PBE-relaxed structure gives the calculated XRD peak list in this record (Cu Kα X-rays).
Neutral-atom scattering factors, no anomalous dispersion.

Principal peaks in the range 2θ = 5–70°, by angle:
d (Å), two_theta, intensity
10.962, 8.07, 77.4
8.281, 10.68, 59.3
7.885, 11.22, 50.4
7.243, 12.22, 33.0
7.136, 12.40, 54.6
3.177, 28.09, 35.2
2.900, 30.83, 100.0
2.773, 32.28, 66.6
2.668, 33.59, 64.6
1.949, 46.60, 36.6

```
data_Gd10C4Cl17
_space_group_name_H-M_alt 'P 1'
_space_group_IT_number 1
_cell_length_a 8.558
_cell_length_b 9.265
_cell_length_c 11.600
_cell_angle_alpha 104.98
_cell_angle_beta 95.79
_cell_angle_gamma 109.80
loop_
_space_group_symop_operation_xyz
'x,y,z'
loop_
_atom_site_label
_atom_site_fract_x
_atom_site_fract_y
_atom_site_fract_z
Gd1 0.010 0.218 0.158
Gd2 0.088 0.629 0.361
Gd3 0.155 0.489 0.938
Gd4 0.286 0.899 0.191
Gd5 0.416 0.573 0.228
Gd6 0.584 0.427 0.772
Gd7 0.714 0.101 0.809
Gd8 0.845 0.511 0.062
Gd9 0.912 0.371 0.639
Gd10 0.990 0.782 0.842
C1 0.101 0.469 0.154
C2 0.169 0.635 0.160
C3 0.831 0.365 0.840
C4 0.899 0.531 0.846
Cl1 0.034 0.684 0.612
Cl2 0.050 0.130 0.911
Cl3 0.199 0.953 0.407
Cl4 0.240 0.411 0.710
Cl5 0.310 0.820 0.944
Cl6 0.337 0.242 0.214
Cl7 0.394 0.649 0.459
Cl8 0.411 0.109 0.749
Cl9 0.500 0.500 0.000
Cl10 0.589 0.891 0.251
Cl11 0.606 0.351 0.541
Cl12 0.663 0.758 0.786
Cl13 0.690 0.180 0.056
Cl14 0.760 0.589 0.290
Cl15 0.801 0.047 0.593
Cl16 0.950 0.870 0.089
Cl17 0.966 0.316 0.388
```